Computed powder XRD pattern
Compound: LaYCo2Ge2C
Radiation: CuKα
Structure: a crystal structure in OQMD, relaxed with GGA-PBE
Intensities are scaled so that the largest is 100.

Main lines, by angle (2θ = 10–80°):
32.69°, I = 35
32.95°, I = 69
33.22°, I = 88
34.09°, I = 46
35.34°, I = 100
35.59°, I = 49
38.66°, I = 88
40.04°, I = 48
45.01°, I = 57
61.80°, I = 26
62.69°, I = 24
63.67°, I = 36

Atomic structure:
```
LaYCo2Ge2C
1.0
10.9950 0.0000 0.0000
0.0000 4.0285 0.0000
-4.4116 0.0000 5.4783
La Y Co Ge C
2 2 4 4 2
direct
0.0000 0.0000 0.0000
0.5000 0.5000 0.0000
0.3832 0.5000 0.4095
0.8832 0.0000 0.4095
0.1267 0.5000 0.7774
0.2521 0.0000 0.6217
0.6267 0.0000 0.7774
0.7521 0.5000 0.6217
0.1117 0.5000 0.4234
0.2704 0.0000 0.9848
0.6117 0.0000 0.4234
0.7704 0.5000 0.9848
0.4359 0.0000 0.6870
0.9359 0.5000 0.6870
```